# 1
Structure and simulated powder diffraction line list of MnPt6Rh23 (a PBE-relaxed structure; Cu Kα (weighted mean of Kα1 and Kα2)).
Neutral-atom scattering factors, no anomalous dispersion.

Structure:
Lattice parameters (Å, degrees): 7.6812 7.6812 15.2874 90.00 90.00 90.00
Space group I4/mmm (No. 139)
Inequivalent atoms, fractional coordinates:
Mn (0.0000, 0.0000, 0.0000) (multiplicity 2)
Pt (0.0000, 0.0000, 0.2498) (multiplicity 4)
Pt (0.2475, 0.2475, 0.0000) (multiplicity 8)
Rh (0.0000, 0.0000, 0.5000) (multiplicity 2)
Rh (0.0000, 0.2540, 0.3728) (multiplicity 16)
Rh (0.0000, 0.2551, 0.1277) (multiplicity 16)
Rh (0.0000, 0.5000, 0.0000) (multiplicity 4)
Rh (0.2500, 0.2500, 0.2500) (multiplicity 8)

Top 8 peaks for 2θ = 10–90°, sorted by position:
- 2θ 40.76, d 2.214, I 100
- 2θ 47.34, d 1.920, I 32
- 2θ 47.59, d 1.911, I 16
- 2θ 69.19, d 1.358, I 10
- 2θ 69.38, d 1.355, I 20
- 2θ 83.52, d 1.157, I 25
- 2θ 83.89, d 1.153, I 12
- 2θ 88.29, d 1.107, I 11



# 2
Structure and simulated powder diffraction line list of MnPt2Rh (a PBE-relaxed structure; Cu Kα (weighted mean of Kα1 and Kα2)).
Neutral-atom scattering factors, no anomalous dispersion.

Structure:
Lattice parameters (Å, degrees): 3.8878 3.8878 7.8093 90.00 90.00 90.00
Space group I4/mmm (No. 139)
Inequivalent atoms, fractional coordinates:
Mn (0.0000, 0.0000, 0.0000) (multiplicity 2)
Pt (0.0000, 0.5000, 0.2500) (multiplicity 4)
Rh (0.0000, 0.0000, 0.5000) (multiplicity 2)

Top 8 peaks for 2θ = 10–90°, sorted by position:
- 2θ 22.77, d 3.905, I 17
- 2θ 32.57, d 2.749, I 14
- 2θ 40.11, d 2.248, I 100
- 2θ 46.52, d 1.952, I 16
- 2θ 46.73, d 1.944, I 32
- 2θ 68.06, d 1.378, I 21
- 2θ 81.89, d 1.176, I 13
- 2θ 82.20, d 1.173, I 25



# 3
Structure and simulated powder diffraction line list of MnPtRh2S8 (a PBE-relaxed structure; Cu Kα (weighted mean of Kα1 and Kα2)).
Neutral-atom scattering factors, no anomalous dispersion.

Structure:
Lattice parameters (Å, degrees): 4.6808 7.3254 5.6352 90.00 90.44 90.00
Space group P2/m (No. 10)
Inequivalent atoms, fractional coordinates:
Mn (0.0000, 0.0000, 0.0000) (multiplicity 1)
Pt (0.0000, 0.5000, 0.0000) (multiplicity 1)
Rh (0.5000, 0.2409, 0.5000) (multiplicity 2)
S (0.1912, 0.0000, 0.3685) (multiplicity 2)
S (0.2118, 0.5000, 0.3849) (multiplicity 2)
S (0.2892, 0.2293, 0.8831) (multiplicity 4)

Top 8 peaks for 2θ = 10–90°, sorted by position:
- 2θ 24.63, d 3.614, I 53
- 2θ 24.82, d 3.587, I 51
- 2θ 29.08, d 3.071, I 29
- 2θ 31.00, d 2.885, I 100
- 2θ 31.76, d 2.817, I 38
- 2θ 44.86, d 2.021, I 29
- 2θ 48.83, d 1.865, I 38
- 2θ 49.04, d 1.858, I 35